# Li4NpPa3Se8
Simulated XRD peak list, Cu Kα (weighted mean of Kα1 and Kα2). Input: DFT lattice parameters and positions (GGA-PBE).
Intensities are scaled so that the largest is 100.

Peak list (12 most intense, 2θ from 15° to 90°, in order of rising 2θ)
d 3.417, 2θ = 26.08°, I = 53, (0 2 1)
d 2.854, 2θ = 31.35°, I = 100, (0 2 4)
d 2.625, 2θ = 34.15°, I = 31, (2 0 5)
d 2.034, 2θ = 44.54°, I = 38, (2 0 8)
d 2.002, 2θ = 45.29°, I = 37, (2 2 0)
d 1.918, 2θ = 47.39°, I = 19, (2 2 3)
d 1.639, 2θ = 56.12°, I = 19, (4 0 4)
d 1.491, 2θ = 62.29°, I = 13, (2 2 9)
d 1.427, 2θ = 65.41°, I = 12, (0 4 8)
d 1.284, 2θ = 73.77°, I = 17, (2 2 12)
d 1.268, 2θ = 74.87°, I = 17, (2 4 4)
d 1.162, 2θ = 83.13°, I = 13, (4 2 8)

Structure:
```
data_Li4NpPa3Se8
_chemical_formula_sum 'Li12 Np3 Pa9 Se24'
_cell_length_a 8.0085
_cell_length_b 8.0085
_cell_length_c 20.0920
_cell_angle_alpha 90.00
_cell_angle_beta 90.00
_cell_angle_gamma 120.00
_space_group_name_H-M_alt 'R -3 m'
_space_group_IT_number 166
_space_group_name_Hall '-R 3 2"'
loop_
_atom_site_label
_atom_site_type_symbol
_atom_site_fract_x
_atom_site_fract_y
_atom_site_fract_z
_atom_site_occupancy
Li1 Li 0.0000 0.0000 0.0000 1
Li2 Li 0.0000 0.5000 0.0000 1
Np1 Np 0.0000 0.0000 0.5000 1
Pa1 Pa 0.0000 0.5000 0.5000 1
Se1 Se 0.0000 0.0000 0.2553 1
Se2 Se 0.0026 0.5013 0.7459 1
```

---

# Li2NpPd9
Simulated XRD peak list, Cu Kα (weighted mean of Kα1 and Kα2). Input: DFT lattice parameters and positions (GGA-PBE).
Intensities are scaled so that the largest is 100.

Peak list (12 most intense, 2θ from 15° to 90°, in order of rising 2θ)
d 3.832, 2θ = 23.21°, I = 14, (1 0 1)
d 3.318, 2θ = 26.87°, I = 8, (1 0 2)
d 2.788, 2θ = 32.10°, I = 7, (1 1 1)
d 2.570, 2θ = 34.91°, I = 8, (1 1 2)
d 2.299, 2θ = 39.19°, I = 100, (1 1 3)
d 2.032, 2θ = 44.58°, I = 35, (2 0 0)
d 1.915, 2θ = 47.48°, I = 15, (0 0 6)
d 1.437, 2θ = 64.88°, I = 11, (2 2 0)
d 1.394, 2θ = 67.16°, I = 19, (2 0 6)
d 1.219, 2θ = 78.49°, I = 28, (3 1 3)
d 1.167, 2θ = 82.72°, I = 10, (1 1 9)
d 1.149, 2θ = 84.25°, I = 10, (2 2 6)

Structure:
```
data_Li2NpPd9
_chemical_formula_sum 'Li2 Np1 Pd9'
_cell_length_a 4.065
_cell_length_b 4.065
_cell_length_c 11.489
_cell_angle_alpha 90.00
_cell_angle_beta 90.00
_cell_angle_gamma 90.00
_space_group_name_H-M_alt 'P 4/m m m'
_space_group_IT_number 123
_space_group_name_Hall '-P 4 2'
loop_
_atom_site_label
_atom_site_type_symbol
_atom_site_fract_x
_atom_site_fract_y
_atom_site_fract_z
_atom_site_occupancy
Li1 Li 0.000 0.000 0.156 1
Np1 Np 0.000 0.000 0.500 1
Pd1 Pd 0.000 0.500 0.000 1
Pd2 Pd 0.000 0.500 0.323 1
Pd3 Pd 0.500 0.500 0.160 1
Pd4 Pd 0.500 0.500 0.500 1
```

---

# Li3Pm3NpS8
Simulated XRD peak list, Cu Kα (weighted mean of Kα1 and Kα2). Input: DFT lattice parameters and positions (GGA-PBE).
Intensities are scaled so that the largest is 100.

Peak list (12 most intense, 2θ from 15° to 90°, in order of rising 2θ)
d 3.442, 2θ = 25.88°, I = 81, (0 2 1)
d 3.275, 2θ = 27.23°, I = 30, (2 0 2)
d 2.791, 2θ = 32.07°, I = 100, (0 2 4)
d 2.542, 2θ = 35.31°, I = 37, (2 0 5)
d 2.108, 2θ = 42.91°, I = 22, (0 2 7)
d 2.023, 2θ = 44.81°, I = 38, (2 2 0)
d 1.928, 2θ = 47.14°, I = 33, (2 0 8)
d 1.922, 2θ = 47.30°, I = 33, (2 2 3)
d 1.638, 2θ = 56.16°, I = 19, (4 0 4)
d 1.441, 2θ = 64.71°, I = 12, (2 2 9)
d 1.273, 2θ = 74.55°, I = 17, (2 4 4)
d 1.225, 2θ = 78.01°, I = 15, (2 2 12)

Structure:
```
data_Li3Pm3NpS8
_chemical_formula_sum 'Li9 Pm9 Np3 S24'
_cell_length_a 8.0910
_cell_length_b 8.0910
_cell_length_c 18.4697
_cell_angle_alpha 90.00
_cell_angle_beta 90.00
_cell_angle_gamma 120.00
_space_group_name_H-M_alt 'R -3 m'
_space_group_IT_number 166
_space_group_name_Hall '-R 3 2"'
loop_
_atom_site_label
_atom_site_type_symbol
_atom_site_fract_x
_atom_site_fract_y
_atom_site_fract_z
_atom_site_occupancy
Li1 Li 0.0000 0.5000 0.0000 1
Pm1 Pm 0.0000 0.5000 0.5000 1
Np1 Np 0.0000 0.0000 0.5000 1
S1 S 0.0000 0.0000 0.2515 1
S2 S 0.0148 0.5074 0.2483 1
```

---

# LiPm3Np4S8
Simulated XRD peak list, Cu Kα (weighted mean of Kα1 and Kα2). Input: DFT lattice parameters and positions (GGA-PBE).
Intensities are scaled so that the largest is 100.

Peak list (12 most intense, 2θ from 15° to 90°, in order of rising 2θ)
d 3.378, 2θ = 26.38°, I = 17, (2 0 1)
d 3.235, 2θ = 27.58°, I = 65, (2 2 0)
d 3.223, 2θ = 27.67°, I = 21, (4 0 -2)
d 2.799, 2θ = 31.98°, I = 100, (4 0 0)
d 1.982, 2θ = 45.79°, I = 37, (2 2 2)
d 1.976, 2θ = 45.91°, I = 36, (6 2 -2)
d 1.689, 2θ = 54.33°, I = 33, (6 2 0)
d 1.685, 2θ = 54.46°, I = 11, (8 0 -2)
d 1.617, 2θ = 56.94°, I = 19, (4 4 0)
d 1.399, 2θ = 66.86°, I = 12, (8 0 0)
d 1.253, 2θ = 75.94°, I = 17, (6 2 2)
d 1.250, 2θ = 76.13°, I = 17, (10 2 -2)

Structure:
```
data_LiPm3Np4S8
_chemical_formula_sum 'Li2 Pm6 Np8 S16'
_cell_length_a 13.679
_cell_length_b 7.924
_cell_length_c 7.909
_cell_angle_alpha 90.00
_cell_angle_beta 125.09
_cell_angle_gamma 90.00
_space_group_name_H-M_alt 'C 1 2/m 1'
_space_group_IT_number 12
loop_
_space_group_symop_operation_xyz
'x,y,z'
'-x,-y,-z'
'-x,y,-z'
'x,-y,z'
'x+1/2,y+1/2,z'
'-x+1/2,-y+1/2,-z'
'-x+1/2,y+1/2,-z'
'x+1/2,-y+1/2,z'
loop_
_atom_site_label
_atom_site_type_symbol
_atom_site_fract_x
_atom_site_fract_y
_atom_site_fract_z
_atom_site_occupancy
Li1 Li 0.000 0.000 0.000 1
Pm1 Pm 0.000 0.500 0.000 1
Pm2 Pm 0.250 0.250 0.500 1
Np1 Np 0.000 0.000 0.500 1
Np2 Np 0.000 0.500 0.500 1
Np3 Np 0.250 0.250 0.000 1
S1 S 0.003 0.244 0.753 1
S2 S 0.247 0.000 0.753 1
S3 S 0.248 0.000 0.241 1
```

---

# Li3PrNp2S6
Simulated XRD peak list, Cu Kα (weighted mean of Kα1 and Kα2). Input: DFT lattice parameters and positions (GGA-PBE).
Intensities are scaled so that the largest is 100.

Peak list (12 most intense, 2θ from 15° to 90°, in order of rising 2θ)
d 3.392, 2θ = 26.27°, I = 88, (1 3 0)
d 3.233, 2θ = 27.59°, I = 38, (2 0 0)
d 2.766, 2θ = 32.37°, I = 100, (1 3 1)
d 2.524, 2θ = 35.57°, I = 42, (2 0 1)
d 2.099, 2θ = 43.10°, I = 23, (1 3 2)
d 1.992, 2θ = 45.53°, I = 38, (0 6 0)
d 1.922, 2θ = 47.31°, I = 34, (2 0 2)
d 1.896, 2θ = 47.99°, I = 35, (3 3 0)
d 1.617, 2θ = 56.97°, I = 20, (4 0 0)
d 1.431, 2θ = 65.20°, I = 15, (3 3 2)
d 1.255, 2θ = 75.78°, I = 17, (4 6 0)
d 1.220, 2θ = 78.41°, I = 15, (3 3 3)

Structure:
```
data_Li3PrNp2S6
_chemical_formula_sum 'Li6 Pr2 Np4 S12'
_cell_length_a 6.899
_cell_length_b 11.956
_cell_length_c 6.584
_cell_angle_alpha 90.00
_cell_angle_beta 110.44
_cell_angle_gamma 90.00
_space_group_name_H-M_alt 'C 1 2/m 1'
_space_group_IT_number 12
loop_
_space_group_symop_operation_xyz
'x,y,z'
'-x,-y,-z'
'-x,y,-z'
'x,-y,z'
'x+1/2,y+1/2,z'
'-x+1/2,-y+1/2,-z'
'-x+1/2,y+1/2,-z'
'x+1/2,-y+1/2,z'
loop_
_atom_site_label
_atom_site_type_symbol
_atom_site_fract_x
_atom_site_fract_y
_atom_site_fract_z
_atom_site_occupancy
Li1 Li 0.000 0.000 0.000 1
Li2 Li 0.000 0.330 0.000 1
Pr1 Pr 0.000 0.500 0.500 1
Np1 Np 0.000 0.166 0.500 1
S1 S 0.240 0.000 0.757 1
S2 S 0.243 0.173 0.247 1
```

---

# LiPuNp2S4
Simulated XRD peak list, Cu Kα (weighted mean of Kα1 and Kα2). Input: DFT lattice parameters and positions (GGA-PBE).
Intensities are scaled so that the largest is 100.

Peak list (12 most intense, 2θ from 15° to 90°, in order of rising 2θ)
d 3.325, 2θ = 26.81°, I = 30, (0 1 1)
d 3.204, 2θ = 27.84°, I = 33, (0 0 2)
d 3.186, 2θ = 28.00°, I = 66, (1 1 -1)
d 3.174, 2θ = 28.12°, I = 33, (2 0 0)
d 2.768, 2θ = 32.35°, I = 51, (2 0 -2)
d 2.757, 2θ = 32.48°, I = 100, (1 1 1)
d 1.960, 2θ = 46.31°, I = 37, (1 1 -3)
d 1.950, 2θ = 46.59°, I = 37, (2 0 2)
d 1.946, 2θ = 46.67°, I = 37, (3 1 -1)
d 1.668, 2θ = 55.06°, I = 23, (1 1 3)
d 1.660, 2θ = 55.34°, I = 28, (3 1 1)
d 1.233, 2θ = 77.40°, I = 25, (3 1 3)

Structure:
```
data_LiPuNp2S4
_chemical_formula_sum 'Li1 Pu1 Np2 S4'
_cell_length_a 6.740
_cell_length_b 3.897
_cell_length_c 6.805
_cell_angle_alpha 90.00
_cell_angle_beta 109.65
_cell_angle_gamma 90.00
_space_group_name_H-M_alt 'P 1 2/m 1'
_space_group_IT_number 10
loop_
_space_group_symop_operation_xyz
'x,y,z'
'-x,-y,-z'
'-x,y,-z'
'x,-y,z'
loop_
_atom_site_label
_atom_site_type_symbol
_atom_site_fract_x
_atom_site_fract_y
_atom_site_fract_z
_atom_site_occupancy
Li1 Li 0.000 0.000 0.000 1
Pu1 Pu 0.500 0.500 0.000 1
Np1 Np 0.000 0.500 0.500 1
Np2 Np 0.500 0.000 0.500 1
S1 S 0.244 0.500 0.248 1
S2 S 0.246 0.000 0.751 1
```

---

# Li3PuNp3S8
Simulated XRD peak list, Cu Kα (weighted mean of Kα1 and Kα2). Input: DFT lattice parameters and positions (GGA-PBE).
Intensities are scaled so that the largest is 100.

Peak list (12 most intense, 2θ from 15° to 90°, in order of rising 2θ)
d 3.405, 2θ = 26.17°, I = 49, (2 0 1)
d 3.383, 2θ = 26.34°, I = 96, (0 2 1)
d 3.228, 2θ = 27.63°, I = 69, (2 2 0)
d 2.773, 2θ = 32.28°, I = 51, (4 0 0)
d 2.745, 2θ = 32.63°, I = 100, (2 2 -2)
d 2.515, 2θ = 35.69°, I = 44, (4 2 -1)
d 2.498, 2θ = 35.95°, I = 21, (2 0 -3)
d 2.076, 2θ = 43.59°, I = 27, (4 2 -3)
d 1.994, 2θ = 45.49°, I = 39, (2 2 2)
d 1.910, 2θ = 47.61°, I = 35, (6 2 -2)
d 1.890, 2θ = 48.15°, I = 40, (0 2 3)
d 1.717, 2θ = 53.34°, I = 22, (2 4 1)

Structure:
```
data_Li3PuNp3S8
_chemical_formula_sum 'Li6 Pu2 Np6 S16'
_cell_length_a 13.084
_cell_length_b 7.951
_cell_length_c 7.601
_cell_angle_alpha 90.00
_cell_angle_beta 122.03
_cell_angle_gamma 90.00
_space_group_name_H-M_alt 'C 1 2/m 1'
_space_group_IT_number 12
loop_
_space_group_symop_operation_xyz
'x,y,z'
'-x,-y,-z'
'-x,y,-z'
'x,-y,z'
'x+1/2,y+1/2,z'
'-x+1/2,-y+1/2,-z'
'-x+1/2,y+1/2,-z'
'x+1/2,-y+1/2,z'
loop_
_atom_site_label
_atom_site_type_symbol
_atom_site_fract_x
_atom_site_fract_y
_atom_site_fract_z
_atom_site_occupancy
Li1 Li 0.000 0.000 0.000 1
Li2 Li 0.250 0.250 0.500 1
Pu1 Pu 0.000 0.000 0.500 1
Np1 Np 0.000 0.500 0.500 1
Np2 Np 0.250 0.250 0.000 1
S1 S 0.002 0.250 0.746 1
S2 S 0.248 0.000 0.752 1
S3 S 0.249 0.000 0.250 1
```

---

# LiPuNp2Se4
Simulated XRD peak list, Cu Kα (weighted mean of Kα1 and Kα2). Input: DFT lattice parameters and positions (GGA-PBE).
Intensities are scaled so that the largest is 100.

Peak list (12 most intense, 2θ from 15° to 90°, in order of rising 2θ)
d 5.803, 2θ = 15.27°, I = 9, (1 0 -1)
d 3.500, 2θ = 25.45°, I = 16, (1 0 -2)
d 3.354, 2θ = 26.58°, I = 20, (0 0 2)
d 2.903, 2θ = 30.80°, I = 100, (1 1 1)
d 2.056, 2θ = 44.05°, I = 38, (2 0 2)
d 2.050, 2θ = 44.19°, I = 38, (0 2 0)
d 1.749, 2θ = 52.31°, I = 8, (3 1 1)
d 1.674, 2θ = 54.83°, I = 20, (2 2 -2)
d 1.451, 2θ = 64.17°, I = 13, (2 2 2)
d 1.300, 2θ = 72.76°, I = 17, (0 2 4)
d 1.297, 2θ = 72.96°, I = 17, (1 3 1)
d 1.184, 2θ = 81.21°, I = 13, (1 3 -3)

Structure:
```
data_LiPuNp2Se4
_chemical_formula_sum 'Li1 Pu1 Np2 Se4'
_cell_length_a 7.095
_cell_length_b 4.102
_cell_length_c 7.127
_cell_angle_alpha 90.00
_cell_angle_beta 109.37
_cell_angle_gamma 90.00
_space_group_name_H-M_alt 'P 1 2/m 1'
_space_group_IT_number 10
loop_
_space_group_symop_operation_xyz
'x,y,z'
'-x,-y,-z'
'-x,y,-z'
'x,-y,z'
loop_
_atom_site_label
_atom_site_type_symbol
_atom_site_fract_x
_atom_site_fract_y
_atom_site_fract_z
_atom_site_occupancy
Li1 Li 0.000 0.000 0.000 1
Pu1 Pu 0.500 0.500 0.000 1
Np1 Np 0.000 0.500 0.500 1
Np2 Np 0.500 0.000 0.500 1
Se1 Se 0.244 0.500 0.246 1
Se2 Se 0.246 0.000 0.751 1
```

---

# Rb2Li2NpSe4
Simulated XRD peak list, Cu Kα (weighted mean of Kα1 and Kα2). Input: DFT lattice parameters and positions (GGA-PBE).
Intensities are scaled so that the largest is 100.

Peak list (12 most intense, 2θ from 15° to 90°, in order of rising 2θ)
d 4.135, 2θ = 21.49°, I = 21, (1 1 0)
d 3.937, 2θ = 22.58°, I = 17, (2 0 -2)
d 3.780, 2θ = 23.54°, I = 17, (1 1 -1)
d 3.240, 2θ = 27.53°, I = 20, (3 1 -1)
d 2.932, 2θ = 30.49°, I = 100, (1 1 -2)
d 2.779, 2θ = 32.21°, I = 18, (3 1 -2)
d 2.761, 2θ = 32.43°, I = 15, (3 1 1)
d 2.523, 2θ = 35.59°, I = 22, (5 1 -1)
d 2.448, 2θ = 36.71°, I = 15, (6 0 0)
d 2.154, 2θ = 41.94°, I = 21, (0 2 0)
d 1.937, 2θ = 46.92°, I = 20, (7 1 -2)
d 1.803, 2θ = 50.62°, I = 16, (3 1 3)

Structure:
```
data_Rb2Li2NpSe4
_chemical_formula_sum 'Rb4 Li4 Np2 Se8'
_cell_length_a 15.585
_cell_length_b 4.310
_cell_length_c 8.016
_cell_angle_alpha 90.00
_cell_angle_beta 109.55
_cell_angle_gamma 90.00
_space_group_name_H-M_alt 'C 1 2/m 1'
_space_group_IT_number 12
loop_
_space_group_symop_operation_xyz
'x,y,z'
'-x,-y,-z'
'-x,y,-z'
'x,-y,z'
'x+1/2,y+1/2,z'
'-x+1/2,-y+1/2,-z'
'-x+1/2,y+1/2,-z'
'x+1/2,-y+1/2,z'
loop_
_atom_site_label
_atom_site_type_symbol
_atom_site_fract_x
_atom_site_fract_y
_atom_site_fract_z
_atom_site_occupancy
Rb1 Rb 0.138 0.000 0.064 1
Li1 Li 0.181 0.500 0.488 1
Np1 Np 0.000 0.000 0.500 1
Se1 Se 0.016 0.500 0.275 1
Se2 Se 0.192 0.000 0.664 1
```

---

# Rb3LiNp3Te8
Simulated XRD peak list, Cu Kα (weighted mean of Kα1 and Kα2). Input: DFT lattice parameters and positions (GGA-PBE).
Intensities are scaled so that the largest is 100.

Peak list (12 most intense, 2θ from 15° to 90°, in order of rising 2θ)
d 4.965, 2θ = 17.87°, I = 8, (2 0 -2)
d 3.331, 2θ = 26.77°, I = 100, (4 0 0)
d 2.675, 2θ = 33.50°, I = 24, (2 2 -3)
d 2.482, 2θ = 36.19°, I = 33, (2 2 2)
d 2.248, 2θ = 40.12°, I = 25, (6 2 -2)
d 2.242, 2θ = 40.23°, I = 12, (0 4 0)
d 2.174, 2θ = 41.54°, I = 9, (6 2 -3)
d 2.008, 2θ = 45.15°, I = 14, (4 0 -5)
d 1.860, 2θ = 48.96°, I = 13, (4 4 0)
d 1.665, 2θ = 55.18°, I = 9, (4 4 -4)
d 1.434, 2θ = 65.03°, I = 13, (10 2 -2)
d 1.365, 2θ = 68.76°, I = 8, (6 2 3)

Structure:
```
data_Rb3LiNp3Te8
_chemical_formula_sum 'Rb6 Li2 Np6 Te16'
_cell_length_a 15.585
_cell_length_b 8.968
_cell_length_c 10.050
_cell_angle_alpha 90.00
_cell_angle_beta 121.18
_cell_angle_gamma 90.00
_space_group_name_H-M_alt 'C 1 2/m 1'
_space_group_IT_number 12
loop_
_space_group_symop_operation_xyz
'x,y,z'
'-x,-y,-z'
'-x,y,-z'
'x,-y,z'
'x+1/2,y+1/2,z'
'-x+1/2,-y+1/2,-z'
'-x+1/2,y+1/2,-z'
'x+1/2,-y+1/2,z'
loop_
_atom_site_label
_atom_site_type_symbol
_atom_site_fract_x
_atom_site_fract_y
_atom_site_fract_z
_atom_site_occupancy
Rb1 Rb 0.000 0.000 0.000 1
Rb2 Rb 0.250 0.250 0.000 1
Li1 Li 0.000 0.000 0.500 1
Np1 Np 0.000 0.500 0.500 1
Np2 Np 0.250 0.250 0.500 1
Te1 Te 0.022 0.256 0.308 1
Te2 Te 0.234 0.500 0.701 1
Te3 Te 0.238 0.000 0.693 1
```

---

# LiNpRh3
Simulated XRD peak list, Cu Kα (weighted mean of Kα1 and Kα2). Input: DFT lattice parameters and positions (GGA-PBE).
Intensities are scaled so that the largest is 100.

Peak list (12 most intense, 2θ from 15° to 90°, in order of rising 2θ)
d 4.294, 2θ = 20.69°, I = 33, (0 1 1)
d 3.532, 2θ = 25.22°, I = 100, (1 1 0)
d 3.120, 2θ = 28.61°, I = 26, (1 1 1)
d 2.423, 2θ = 37.10°, I = 41, (1 1 2)
d 2.272, 2θ = 39.68°, I = 46, (2 0 0)
d 2.248, 2θ = 40.11°, I = 70, (1 2 1)
d 2.147, 2θ = 42.08°, I = 52, (0 2 2)
d 2.065, 2θ = 43.83°, I = 18, (0 1 3)
d 1.995, 2θ = 45.46°, I = 53, (1 0 3)
d 1.730, 2θ = 52.91°, I = 18, (1 3 0)
d 1.560, 2θ = 59.22°, I = 35, (2 2 2)
d 1.148, 2θ = 84.37°, I = 17, (1 4 3)

Structure:
```
data_LiNpRh3
_chemical_formula_sum 'Li2 Np2 Rh6'
_cell_length_a 4.543
_cell_length_b 5.615
_cell_length_c 6.663
_cell_angle_alpha 90.00
_cell_angle_beta 90.00
_cell_angle_gamma 90.00
_space_group_name_H-M_alt 'P m m n'
_space_group_IT_number 59
loop_
_space_group_symop_operation_xyz
'x,y,z'
'-x,-y,-z'
'-x+1/2,-y+1/2,z'
'x+1/2,y+1/2,-z'
'x+1/2,-y,-z'
'-x+1/2,y,z'
'-x,y+1/2,-z'
'x,-y+1/2,z'
loop_
_atom_site_label
_atom_site_type_symbol
_atom_site_fract_x
_atom_site_fract_y
_atom_site_fract_z
_atom_site_occupancy
Li1 Li 0.250 0.250 0.145 1
Np1 Np 0.250 0.750 0.448 1
Rh1 Rh 0.250 0.010 0.747 1
Rh2 Rh 0.250 0.750 0.096 1
```

---

# LiNpSnRh
Simulated XRD peak list, Cu Kα (weighted mean of Kα1 and Kα2). Input: DFT lattice parameters and positions (GGA-PBE).
Intensities are scaled so that the largest is 100.

Peak list (12 most intense, 2θ from 15° to 90°, in order of rising 2θ)
d 3.874, 2θ = 22.96°, I = 25, (1 1 1)
d 3.355, 2θ = 26.57°, I = 34, (2 0 0)
d 2.372, 2θ = 37.93°, I = 100, (2 2 0)
d 2.023, 2θ = 44.80°, I = 13, (3 1 1)
d 1.937, 2θ = 46.91°, I = 10, (2 2 2)
d 1.678, 2θ = 54.72°, I = 18, (4 0 0)
d 1.539, 2θ = 60.11°, I = 5, (3 3 1)
d 1.500, 2θ = 61.84°, I = 14, (4 2 0)
d 1.370, 2θ = 68.51°, I = 36, (4 2 2)
d 1.186, 2θ = 81.07°, I = 12, (4 4 0)
d 1.134, 2θ = 85.64°, I = 4, (5 3 1)
d 1.118, 2θ = 87.16°, I = 8, (6 0 0)

Structure:
```
data_LiNpSnRh
_chemical_formula_sum 'Li4 Np4 Sn4 Rh4'
_cell_length_a 6.710
_cell_length_b 6.710
_cell_length_c 6.710
_cell_angle_alpha 90.00
_cell_angle_beta 90.00
_cell_angle_gamma 90.00
_space_group_name_H-M_alt 'F -4 3 m'
_space_group_IT_number 216
_space_group_name_Hall 'F -4 2 3'
loop_
_atom_site_label
_atom_site_type_symbol
_atom_site_fract_x
_atom_site_fract_y
_atom_site_fract_z
_atom_site_occupancy
Li1 Li 0.000 0.000 0.000 1
Np1 Np 0.250 0.250 0.750 1
Sn1 Sn 0.250 0.250 0.250 1
Rh1 Rh 0.000 0.000 0.500 1
```